The following is a computed powder diffraction line list of Rb2TcS3. It was derived from DFT lattice parameters and positions (PBE), using λ = 1.5418 Å (Cu Kα).
Neutral-atom scattering factors, no anomalous dispersion.

Top 6 peaks for 2θ = 10–80°, in order of rising 2θ:
Position (°2θ)  I/Imax
15.77  34
24.86  96
25.84  100
27.33  62
27.47  75
38.01  52

Cell and atoms:
```
12
Lattice="6.808 -3.447 0.000 6.808 3.447 0.000 -5.771 0.000 7.955" Properties=species:S:1:pos:R:3 pbc="T T T"
Rb -0.959 0.000 2.920
Rb 3.050 0.000 1.510
Rb 4.795 0.000 6.445
Rb 8.805 0.000 5.036
Tc 0.526 0.000 6.672
Tc 7.319 0.000 1.283
S -1.665 0.000 6.204
S 6.808 1.800 0.000
S 1.794 0.000 4.836
S 6.051 0.000 3.120
S 6.808 -1.800 0.000
S 9.511 0.000 1.751
```